This entry pairs a crystal structure of Li2FeSiO4 with its simulated powder diffraction line list. Radiation: CuKα. Structure: the GGA+U geometry in the Materials Project.
Peak positions follow from Bragg's law for the DFT cell and can differ from measured ones.

Principal peaks in the range 2θ = 10–80°, low angle first:
| hkl | 2θ/deg | Rel. int. |
| --- | --- | --- |
| 1 0 1 | 21.6 | 68.9 |
| 1 0 2 | 25.4 | 100.0 |
| 0 1 3 | 30.8 | 62.9 |
| 1 1 0 | 35.4 | 40.6 |
| 1 1 2 | 38.8 | 21.7 |
| 0 1 5 | 44.0 | 28.7 |
| 2 0 3 | 47.6 | 48.2 |
| 2 1 1 | 56.0 | 22.9 |
| 2 0 5 | 57.7 | 17.7 |
| 1 2 3 | 60.7 | 15.5 |
| 3 0 2 | 65.8 | 13.5 |
| 1 0 8 | 67.9 | 13.6 |

```
data_Li2FeSiO4
_chemical_formula_sum 'Li6 Fe3 Si3 O12'
_space_group_name_H-M_alt 'P 31 2 1'
_space_group_IT_number 152
_space_group_name_Hall 'P 31 2"'
_cell_length_a 5.0691
_cell_length_b 5.0691
_cell_length_c 11.6382
_cell_angle_alpha 90.00
_cell_angle_beta 90.00
_cell_angle_gamma 120.00
loop_
_atom_site_label
_atom_site_type_symbol
_atom_site_fract_x
_atom_site_fract_y
_atom_site_fract_z
Li1 Li 0.1122 0.6711 0.4142
Fe1 Fe 0.0000 0.5463 0.1667
Si1 Si 0.0000 0.8060 0.6667
O1 O 0.1148 0.6776 0.7749
O2 O 0.1409 0.2890 0.3714
```



This entry pairs a crystal structure of LiFeSiO4 with its simulated powder diffraction line list. Radiation: CuKα. Structure: the GGA+U geometry in the Materials Project.
Peak positions follow from Bragg's law for the DFT cell and can differ from measured ones.

Principal peaks in the range 2θ = 10–80°, low angle first:
| hkl | 2θ/deg | Rel. int. |
| --- | --- | --- |
| 0 0 2 | 11.1 | 100.0 |
| 0 2 1 | 24.3 | 7.6 |
| 1 1 3 | 25.6 | 24.7 |
| 1 1 4 | 29.7 | 6.4 |
| 1 2 2 | 30.5 | 10.4 |
| 2 0 0 | 30.8 | 6.2 |
| 0 2 4 | 32.8 | 11.1 |
| 2 1 0 | 33.1 | 20.3 |
| 1 2 4 | 36.3 | 7.6 |
| 0 2 5 | 37.0 | 9.9 |
| 2 3 5 | 56.5 | 5.9 |
| 0 4 7 | 64.3 | 6.4 |

```
data_LiFeSiO4
_chemical_formula_sum 'Li8 Fe8 Si8 O32'
_space_group_name_H-M_alt 'P b c a'
_space_group_IT_number 61
_space_group_name_Hall '-P 2ac 2ab'
_cell_length_a 5.8031
_cell_length_b 7.5174
_cell_length_c 15.9306
_cell_angle_alpha 90.00
_cell_angle_beta 90.00
_cell_angle_gamma 90.00
loop_
_atom_site_label
_atom_site_type_symbol
_atom_site_fract_x
_atom_site_fract_y
_atom_site_fract_z
Li1 Li 0.0907 0.2478 0.2324
Fe1 Fe 0.0917 0.6811 0.4659
Si1 Si 0.0958 0.5425 0.1156
O1 O 0.0286 0.6539 0.8768
O2 O 0.0681 0.1720 0.4475
O3 O 0.1348 0.6293 0.2052
O4 O 0.1584 0.0178 0.0594
```



This entry pairs a crystal structure of Li2Fe2Si2O7 with its simulated powder diffraction line list. Radiation: CuKα. Structure: the GGA+U geometry in the Materials Project.
Peak positions follow from Bragg's law for the DFT cell and can differ from measured ones.

Principal peaks in the range 2θ = 10–80°, low angle first:
| hkl | 2θ/deg | Rel. int. |
| --- | --- | --- |
| 1 1 1 | 21.8 | 29.7 |
| 0 0 2 | 22.0 | 100.0 |
| 0 1 -1 | 22.1 | 25.8 |
| 1 0 -1 | 22.3 | 28.0 |
| 1 2 0 | 33.4 | 35.1 |
| -1 1 1 | 35.3 | 7.7 |
| 2 0 1 | 40.1 | 8.8 |
| 2 2 -1 | 40.6 | 10.6 |
| 0 0 4 | 44.8 | 10.7 |
| 1 3 -1 | 53.5 | 6.5 |
| 3 0 0 | 59.6 | 11.5 |
| 3 3 2 | 63.8 | 6.3 |

```
data_Li2Fe2Si2O7
_chemical_formula_sum 'Li2 Fe2 Si2 O7'
_space_group_name_H-M_alt 'P 1'
_space_group_IT_number 1
_space_group_name_Hall 'P 1'
_cell_length_a 5.3693
_cell_length_b 5.3739
_cell_length_c 8.1023
_cell_angle_alpha 89.02
_cell_angle_beta 88.41
_cell_angle_gamma 60.06
loop_
_atom_site_label
_atom_site_type_symbol
_atom_site_fract_x
_atom_site_fract_y
_atom_site_fract_z
Li1 Li 0.0000 0.0000 0.0000
Li2 Li 0.3264 0.3304 0.5538
Fe1 Fe 0.3329 0.3330 0.0041
Fe2 Fe 0.9937 0.9972 0.5498
Si1 Si 0.6616 0.6642 0.4793
Si2 Si 0.6647 0.6665 0.0747
O1 O 0.3724 0.9559 0.5454
O2 O 0.3728 0.6708 0.0140
O3 O 0.6564 0.3753 0.5450
O4 O 0.6628 0.6663 0.2769
O5 O 0.6701 0.9549 0.0082
O6 O 0.9540 0.3744 0.0091
O7 O 0.9536 0.6595 0.5401
```



This entry pairs a crystal structure of LiFeSi2O6 with its simulated powder diffraction line list. Radiation: CuKα. Structure: the GGA+U geometry in the Materials Project.
Peak positions follow from Bragg's law for the DFT cell and can differ from measured ones.

Principal peaks in the range 2θ = 10–80°, low angle first:
| hkl | 2θ/deg | Rel. int. |
| --- | --- | --- |
| 1 1 0 | 19.1 | 14.8 |
| 0 2 1 | 24.8 | 100.0 |
| 1 3 0 | 33.3 | 4.0 |
| 1 3 1 | 37.0 | 4.4 |
| 1 1 2 | 37.3 | 6.4 |
| 0 4 0 | 38.7 | 7.1 |
| 2 2 1 | 42.0 | 4.3 |
| 2 0 2 | 46.7 | 20.2 |
| 2 4 1 | 54.6 | 6.5 |
| 3 1 1 | 54.7 | 4.4 |
| 2 4 2 | 62.2 | 3.9 |
| 2 2 3 | 63.6 | 11.0 |

```
data_LiFeSi2O6
_chemical_formula_sum 'Li2 Fe2 Si4 O12'
_space_group_name_H-M_alt 'C 2 2 2'
_space_group_IT_number 21
_space_group_name_Hall 'C 2 2'
_cell_length_a 5.3721
_cell_length_b 9.3256
_cell_length_c 5.6402
_cell_angle_alpha 90.00
_cell_angle_beta 90.00
_cell_angle_gamma 90.00
loop_
_atom_site_label
_atom_site_type_symbol
_atom_site_fract_x
_atom_site_fract_y
_atom_site_fract_z
Li1 Li 0.0000 0.0000 0.0000
Fe1 Fe 0.0000 0.5000 0.0000
Si1 Si 0.2500 0.2500 0.3366
O1 O 0.0000 0.2410 0.5000
O2 O 0.2389 0.3939 0.1710
```



This entry pairs a crystal structure of Li5Fe5Si7O24 with its simulated powder diffraction line list. Radiation: CuKα. Structure: the GGA+U geometry in the Materials Project.
Peak positions follow from Bragg's law for the DFT cell and can differ from measured ones.

Principal peaks in the range 2θ = 10–80°, low angle first:
| hkl | 2θ/deg | Rel. int. |
| --- | --- | --- |
| 0 1 -2 | 22.0 | 37.3 |
| 0 1 2 | 22.1 | 18.0 |
| 1 0 2 | 22.3 | 12.1 |
| 0 2 -1 | 24.4 | 100.0 |
| 0 2 1 | 24.5 | 59.1 |
| 2 0 1 | 24.7 | 78.3 |
| 1 -1 2 | 24.8 | 12.8 |
| 1 1 2 | 25.1 | 12.9 |
| -2 1 1 | 26.8 | 12.7 |
| 2 -1 1 | 27.0 | 15.9 |
| 0 4 0 | 45.9 | 12.6 |
| 4 0 0 | 46.2 | 11.7 |

```
data_Li5Fe5Si7O24
_chemical_formula_sum 'Li5 Fe5 Si7 O24'
_space_group_name_H-M_alt 'P 1'
_space_group_IT_number 1
_space_group_name_Hall 'P 1'
_cell_length_a 7.8666
_cell_length_b 7.9073
_cell_length_c 9.3678
_cell_angle_alpha 90.38
_cell_angle_beta 90.94
_cell_angle_gamma 90.99
loop_
_atom_site_label
_atom_site_type_symbol
_atom_site_fract_x
_atom_site_fract_y
_atom_site_fract_z
Li1 Li 0.0000 0.0000 0.0000
Li2 Li 0.0263 0.4505 0.7312
Li3 Li 0.2646 0.7131 0.7558
Li4 Li 0.6735 0.7495 0.4761
Li5 Li 0.7707 0.2211 0.9764
Fe1 Fe 0.0950 0.0761 0.7235
Fe2 Fe 0.6333 0.6084 0.7304
Fe3 Fe 0.6613 0.0506 0.7373
Fe4 Fe 0.8243 0.8753 0.2380
Fe5 Fe 0.9250 0.5798 0.9886
Si1 Si 0.1238 0.7738 0.4724
Si2 Si 0.1769 0.3770 0.4723
Si3 Si 0.3353 0.5266 0.9891
Si4 Si 0.3798 0.1306 0.9970
Si5 Si 0.4017 0.8287 0.2230
Si6 Si 0.5690 0.3383 0.4743
Si7 Si 0.8672 0.2919 0.2502
O1 O 0.0374 0.3438 0.3446
O2 O 0.1254 0.2750 0.6168
O3 O 0.1478 0.5528 0.9113
O4 O 0.1558 0.8763 0.6238
O5 O 0.1572 0.5766 0.5289
O6 O 0.2176 0.0628 0.8995
O7 O 0.2648 0.8244 0.3531
O8 O 0.3573 0.3314 0.0449
O9 O 0.3620 0.6605 0.1228
O10 O 0.3670 0.3376 0.4185
O11 O 0.3761 0.0075 0.1383
O12 O 0.4527 0.5832 0.8562
O13 O 0.5589 0.1159 0.9150
O14 O 0.5956 0.8229 0.2875
O15 O 0.6005 0.1912 0.5890
O16 O 0.6128 0.5252 0.5400
O17 O 0.6290 0.8328 0.6683
O18 O 0.6915 0.3095 0.3365
O19 O 0.8254 0.5170 0.8130
O20 O 0.8533 0.4045 0.1064
O21 O 0.8814 0.1004 0.1830
O22 O 0.8866 0.0905 0.8174
O23 O 0.9064 0.7925 0.0674
O24 O 0.9307 0.7967 0.4099
```